No. 1
Theoretical X-ray diffraction stick pattern
Compound: Li4Fe3Ni3Sb2O16
Radiation: Cu Kα
Structure: DFT lattice parameters and positions (GGA+U)

Structure:
Cell lengths 5.9079, 5.9161, 9.7038 Å; angles 89.31, 89.88, 60.39 degrees
Element x y z (fractional)
Li (0.0000, 0.0000, 0.0000)
Li (0.0023, 0.9909, 0.5030)
Li (0.3308, 0.3331, 0.5894)
Li (0.6658, 0.6715, 0.0865)
Fe (0.1657, 0.1729, 0.2770)
Fe (0.6584, 0.1725, 0.2782)
Fe (0.8323, 0.3382, 0.7760)
Ni (0.1689, 0.6602, 0.2776)
Ni (0.3390, 0.8268, 0.7785)
Ni (0.8297, 0.8303, 0.7783)
Sb (0.3338, 0.3359, 0.0030)
Sb (0.6609, 0.6695, 0.5070)
O (0.0060, 0.9887, 0.6926)
O (0.0340, 0.4833, 0.1434)
O (0.1595, 0.1773, 0.8967)
O (0.1666, 0.6776, 0.8974)
O (0.3276, 0.8385, 0.3968)
O (0.3311, 0.3332, 0.3826)
O (0.4794, 0.0355, 0.1451)
O (0.4889, 0.4788, 0.1423)
O (0.5065, 0.9641, 0.6491)
O (0.5223, 0.5057, 0.6434)
O (0.6608, 0.6756, 0.8759)
O (0.6675, 0.1684, 0.8949)
O (0.8247, 0.8410, 0.3985)
O (0.8313, 0.3368, 0.3960)
O (0.9648, 0.5194, 0.6450)
O (0.9990, 0.9985, 0.1889)

The 10 most intense peaks (2θ from 10° to 80°), sorted by position:
d_spacing  intensity
4.558  64
4.529  100
4.506  33
3.534  24
2.743  25
2.723  25
2.523  49
2.483  23
2.477  23
1.478  33

***

No. 2
Theoretical X-ray diffraction stick pattern
Compound: MgRe2NiO8
Radiation: Cu Kα
Structure: DFT lattice parameters and positions (GGA+U)

Structure:
Cell lengths 5.8207, 5.8207, 5.5352 Å; angles 90.00, 90.00, 120.00 degrees
Element x y z (fractional)
Mg (0.0000, 0.0000, 0.0000)
Re (0.3333, 0.6667, 0.8278)
Re (0.6667, 0.3333, 0.1722)
Ni (0.0000, 0.0000, 0.5000)
O (0.1566, 0.3182, 0.7488)
O (0.1616, 0.8434, 0.7488)
O (0.3182, 0.1616, 0.2512)
O (0.3333, 0.6667, 0.1408)
O (0.6667, 0.3333, 0.8592)
O (0.6818, 0.8384, 0.7488)
O (0.8384, 0.1566, 0.2512)
O (0.8434, 0.6818, 0.2512)

The 10 most intense peaks (2θ from 10° to 80°), sorted by position:
d_spacing  intensity
5.535  10
3.727  100
2.910  56
2.426  28
2.294  14
1.863  17
1.802  28
1.680  11
1.569  16
1.558  15

***

No. 3
Theoretical X-ray diffraction stick pattern
Compound: CaMo2O4
Radiation: Cu Kα
Structure: DFT lattice parameters and positions (GGA+U)

Structure:
Cell lengths 6.5747, 6.5747, 16.1502 Å; angles 90.00, 90.00, 120.00 degrees
Element x y z (fractional)
Ca (0.0000, 0.0000, 0.0000)
Ca (0.0000, 0.0000, 0.2417)
Ca (0.0000, 0.0000, 0.6190)
Ca (0.3333, 0.6667, 0.5738)
Ca (0.6667, 0.3333, 0.2827)
Ca (0.6667, 0.3333, 0.9122)
Mo (0.0001, 0.5001, 0.1195)
Mo (0.1697, 0.3393, 0.7885)
Mo (0.1697, 0.8303, 0.7885)
Mo (0.3304, 0.1652, 0.4544)
Mo (0.3333, 0.6667, 0.3389)
Mo (0.3333, 0.6667, 0.9544)
Mo (0.4999, 0.9999, 0.1195)
Mo (0.4999, 0.5001, 0.1195)
Mo (0.6607, 0.8303, 0.7885)
Mo (0.6667, 0.3333, 0.6724)
Mo (0.8348, 0.1652, 0.4544)
Mo (0.8348, 0.6696, 0.4544)
O (0.0000, 0.0000, 0.3854)
O (0.0000, 0.0000, 0.8541)
O (0.0377, 0.5188, 0.8630)
O (0.1522, 0.3044, 0.5248)
O (0.1522, 0.8478, 0.5248)
O (0.1884, 0.3768, 0.0389)
O (0.1884, 0.8116, 0.0389)
O (0.3241, 0.1620, 0.7127)
O (0.3333, 0.6667, 0.1915)
O (0.3333, 0.6667, 0.7191)
O (0.3581, 0.1791, 0.1891)
O (0.4812, 0.5188, 0.8630)
O (0.4812, 0.9623, 0.8630)
O (0.5064, 0.0128, 0.3778)
O (0.5064, 0.4936, 0.3778)
O (0.6232, 0.8116, 0.0389)
O (0.6667, 0.3333, 0.0500)
O (0.6667, 0.3333, 0.5245)
O (0.6956, 0.8478, 0.5248)
O (0.8209, 0.1791, 0.1891)
O (0.8209, 0.6419, 0.1891)
O (0.8380, 0.1620, 0.7127)
O (0.8380, 0.6759, 0.7127)
O (0.9872, 0.4936, 0.3778)

The 10 most intense peaks (2θ from 10° to 80°), sorted by position:
d_spacing  intensity
5.378  37
3.292  19
2.806  100
2.686  23
2.327  27
1.793  13
1.791  25
1.647  22
1.644  23
1.212  10

***

No. 4
Theoretical X-ray diffraction stick pattern
Compound: MgMn6O8F4
Radiation: Cu Kα
Structure: DFT lattice parameters and positions (GGA+U)

Structure:
Cell lengths 5.7205, 5.9915, 7.0842 Å; angles 72.97, 74.76, 83.01 degrees
Element x y z (fractional)
Mg (0.0000, 0.0000, 0.0000)
Mn (0.3737, 0.7743, 0.6680)
Mn (0.3890, 0.7843, 0.1750)
Mn (0.6241, 0.1764, 0.8280)
Mn (0.6309, 0.1771, 0.3426)
Mn (0.9679, 0.4937, 0.5128)
Mn (0.9702, 0.5130, 0.0024)
O (0.0892, 0.5949, 0.7094)
O (0.2363, 0.7258, 0.9655)
O (0.4462, 0.9096, 0.3733)
O (0.5579, 0.0461, 0.6305)
O (0.6404, 0.4928, 0.6667)
O (0.6935, 0.8484, 0.9954)
O (0.7509, 0.2641, 0.0425)
O (0.8673, 0.4049, 0.3008)
F (0.0146, 0.8435, 0.2957)
F (0.0172, 0.1335, 0.7032)
F (0.2647, 0.1799, 0.0058)
F (0.3178, 0.4494, 0.3593)

The 10 most intense peaks (2θ from 10° to 80°), sorted by position:
d_spacing  intensity
3.877  100
3.203  74
2.591  28
2.566  43
2.529  31
2.437  17
1.939  15
1.873  27
1.690  17
1.499  15

***

No. 5
Theoretical X-ray diffraction stick pattern
Compound: MgGe2WO6
Radiation: Cu Kα
Structure: DFT lattice parameters and positions (GGA+U)

Structure:
Cell lengths 12.3336, 8.5180, 5.5791 Å; angles 90.00, 100.63, 90.00 degrees
Element x y z (fractional)
Mg (0.2357, 0.0815, 0.4616)
Mg (0.2357, 0.4185, 0.9616)
Mg (0.7643, 0.5815, 0.0384)
Mg (0.7643, 0.9185, 0.5384)
Ge (0.0827, 0.1298, 0.8478)
Ge (0.0827, 0.3702, 0.3478)
Ge (0.4623, 0.1592, 0.2125)
Ge (0.4623, 0.3408, 0.7125)
Ge (0.5377, 0.6592, 0.2875)
Ge (0.5377, 0.8408, 0.7875)
Ge (0.9173, 0.6298, 0.6522)
Ge (0.9173, 0.8702, 0.1522)
W (0.2924, 0.6621, 0.4851)
W (0.2924, 0.8379, 0.9851)
W (0.7076, 0.1621, 0.0149)
W (0.7076, 0.3379, 0.5149)
O (0.1602, 0.2117, 0.1573)
O (0.1602, 0.2883, 0.6573)
O (0.1988, 0.5012, 0.2828)
O (0.1988, 0.9988, 0.7828)
O (0.2277, 0.6425, 0.8039)
O (0.2277, 0.8575, 0.3039)
O (0.3933, 0.6635, 0.2023)
O (0.3933, 0.8365, 0.7023)
O (0.3961, 0.2118, 0.4685)
O (0.3961, 0.2882, 0.9685)
O (0.4223, 0.5329, 0.6623)
O (0.4223, 0.9671, 0.1623)
O (0.5777, 0.0329, 0.8377)
O (0.5777, 0.4671, 0.3377)
O (0.6039, 0.7118, 0.0315)
O (0.6039, 0.7882, 0.5315)
O (0.6067, 0.1635, 0.2977)
O (0.6067, 0.3365, 0.7977)
O (0.7723, 0.1425, 0.6961)
O (0.7723, 0.3575, 0.1961)
O (0.8012, 0.0012, 0.2172)
O (0.8012, 0.4988, 0.7172)
O (0.8398, 0.7117, 0.3427)
O (0.8398, 0.7883, 0.8427)

The 10 most intense peaks (2θ from 10° to 80°), sorted by position:
d_spacing  intensity
6.969  72
6.061  30
4.938  51
4.611  46
3.651  82
3.151  100
2.742  47
2.691  38
2.521  31
2.464  26

***

No. 6
Theoretical X-ray diffraction stick pattern
Compound: TlCr2FeO10
Radiation: Cu Kα
Structure: DFT lattice parameters and positions (GGA+U)

Structure:
Cell lengths 6.0369, 6.0369, 7.7569 Å; angles 111.89, 111.89, 55.48 degrees
Element x y z (fractional)
Tl (0.0000, 0.0000, 0.0000)
Cr (0.3927, 0.3927, 0.2129)
Cr (0.6073, 0.6073, 0.7871)
Fe (0.0000, 0.0000, 0.5000)
O (0.1784, 0.1784, 0.5779)
O (0.2339, 0.7403, 0.3052)
O (0.2491, 0.2491, 0.2432)
O (0.2597, 0.7661, 0.6948)
O (0.3543, 0.3543, 0.9875)
O (0.6457, 0.6457, 0.0125)
O (0.7403, 0.2339, 0.3052)
O (0.7509, 0.7509, 0.7568)
O (0.7661, 0.2597, 0.6948)
O (0.8216, 0.8216, 0.4221)

The 10 most intense peaks (2θ from 10° to 80°), sorted by position:
d_spacing  intensity
7.035  33
4.852  100
4.465  33
3.381  20
3.188  74
3.007  34
2.810  30
2.801  34
2.730  24
2.601  21

***

No. 7
Theoretical X-ray diffraction stick pattern
Compound: FeOF
Radiation: Cu Kα
Structure: DFT lattice parameters and positions (GGA+U)

Structure:
Cell lengths 4.8031, 3.0642, 14.3293 Å; angles 90.00, 92.70, 90.00 degrees
Element x y z (fractional)
Fe (0.0000, 0.0000, 0.0000)
Fe (0.0383, 0.0000, 0.3336)
Fe (0.4073, 0.5000, 0.8338)
Fe (0.5000, 0.5000, 0.5000)
Fe (0.5927, 0.5000, 0.1662)
Fe (0.9617, 0.0000, 0.6664)
O (0.1753, 0.5000, 0.9365)
O (0.2525, 0.0000, 0.7638)
O (0.3167, 0.0000, 0.4327)
O (0.6833, 0.0000, 0.5673)
O (0.7475, 0.0000, 0.2362)
O (0.8247, 0.5000, 0.0635)
F (0.1658, 0.5000, 0.6003)
F (0.2378, 0.5000, 0.2687)
F (0.3392, 0.0000, 0.1073)
F (0.6608, 0.0000, 0.8927)
F (0.7622, 0.5000, 0.7313)
F (0.8342, 0.5000, 0.3997)

The 10 most intense peaks (2θ from 10° to 80°), sorted by position:
d_spacing  intensity
3.466  97
3.306  91
2.580  100
2.296  20
1.779  21
1.775  31
1.734  32
1.731  27
1.532  23
1.412  23

***

Question: What is the formula in the fifth record?
Answer: MgGe2WO6